Calculated powder diffractogram of SmMg2Bi2 for Cu Ka, from a structure optimized by DFT (GGA-PBE).
Kinematic intensities with the Lorentz-polarization factor, no thermal factor.

Top 10 peaks for 2θ = 15–90°, sorted by position:
- 24.3 deg, intensity 100
- 32.2 deg, intensity 54
- 36.9 deg, intensity 51
- 42.4 deg, intensity 31
- 44.7 deg, intensity 21
- 49.8 deg, intensity 16
- 59.3 deg, intensity 18
- 63.1 deg, intensity 15
- 63.5 deg, intensity 16
- 70.3 deg, intensity 14

a b c (Å): 4.8697 4.8697 7.4057
angles (deg): 90.00 90.00 120.00
Space group P-3m1 (No. 164)
Symmetry-distinct sites (fractional):
1 Sm 0.0000 0.0000 0.0000
2 Mg 0.3333 0.6667 0.3575
3 Bi 0.3333 0.6667 0.7596